Computed powder XRD pattern of Ce2SbPd3 for CuKα, from a cell relaxed with GGA-PBE.
Neutral-atom scattering factors, no anomalous dispersion.

Structural model:
Unit cell a=9.3988 b=8.8134 c=5.7869 alpha=77.07 beta=66.05 gamma=36.88
Atoms (fractional coordinates):
Ce (0.2230, 0.7770, 0.7770)
Ce (0.2500, 0.2500, 0.2500)
Ce (0.7500, 0.7500, 0.7500)
Ce (0.7770, 0.2230, 0.2230)
Sb (0.3368, 0.3368, 0.6632)
Sb (0.6632, 0.6632, 0.3368)
Pd (0.1689, 0.6631, 0.3369)
Pd (0.1705, 0.1705, 0.8295)
Pd (0.3369, 0.8311, 0.1689)
Pd (0.6631, 0.1689, 0.8311)
Pd (0.8295, 0.8295, 0.1705)
Pd (0.8311, 0.3369, 0.6631)

Principal peaks in the range 10 to 80 degrees two-theta, in order of rising 2θ:
2θ 34.50, d = 2.599 Å, intensity 100
2θ 38.31, d = 2.350 Å, intensity 80
2θ 47.11, d = 1.929 Å, intensity 5
2θ 52.50, d = 1.743 Å, intensity 30
2θ 54.31, d = 1.689 Å, intensity 9
2θ 66.83, d = 1.400 Å, intensity 28
2θ 68.40, d = 1.372 Å, intensity 26
2θ 69.27, d = 1.357 Å, intensity 14


Computed powder XRD pattern of Ho5Er2Sc5 for CuKα, from a cell relaxed with GGA-PBE.
Neutral-atom scattering factors, no anomalous dispersion.

Structural model:
Unit cell a=7.6163 b=7.6163 c=10.8105 alpha=115.04 beta=115.04 gamma=36.90
Atoms (fractional coordinates):
Ho (0.0000, 0.0000, 0.0000)
Ho (0.0874, 0.0874, 0.7520)
Ho (0.1648, 0.1648, 0.4992)
Ho (0.8352, 0.8352, 0.5008)
Ho (0.9126, 0.9126, 0.2480)
Er (0.4166, 0.4166, 0.7538)
Er (0.5834, 0.5834, 0.2462)
Sc (0.2501, 0.2501, 0.2464)
Sc (0.3292, 0.3292, 0.9987)
Sc (0.5000, 0.5000, 0.5000)
Sc (0.6708, 0.6708, 0.0013)
Sc (0.7499, 0.7499, 0.7536)

Principal peaks in the range 10 to 80 degrees two-theta, in order of rising 2θ:
2θ 32.13, d = 2.786 Å, intensity 100
2θ 37.17, d = 2.419 Å, intensity 17
2θ 37.32, d = 2.409 Å, intensity 33
2θ 53.70, d = 1.707 Å, intensity 23
2θ 53.81, d = 1.704 Å, intensity 11
2θ 63.87, d = 1.457 Å, intensity 13
2θ 64.07, d = 1.453 Å, intensity 27
2θ 67.22, d = 1.393 Å, intensity 12


Copy entry 2 word for word.
Computed powder XRD pattern of Ho5Er2Sc5 for CuKα, from a cell relaxed with GGA-PBE.
Neutral-atom scattering factors, no anomalous dispersion.

Structural model:
Unit cell a=7.6163 b=7.6163 c=10.8105 alpha=115.04 beta=115.04 gamma=36.90
Atoms (fractional coordinates):
Ho (0.0000, 0.0000, 0.0000)
Ho (0.0874, 0.0874, 0.7520)
Ho (0.1648, 0.1648, 0.4992)
Ho (0.8352, 0.8352, 0.5008)
Ho (0.9126, 0.9126, 0.2480)
Er (0.4166, 0.4166, 0.7538)
Er (0.5834, 0.5834, 0.2462)
Sc (0.2501, 0.2501, 0.2464)
Sc (0.3292, 0.3292, 0.9987)
Sc (0.5000, 0.5000, 0.5000)
Sc (0.6708, 0.6708, 0.0013)
Sc (0.7499, 0.7499, 0.7536)

Principal peaks in the range 10 to 80 degrees two-theta, in order of rising 2θ:
2θ 32.13, d = 2.786 Å, intensity 100
2θ 37.17, d = 2.419 Å, intensity 17
2θ 37.32, d = 2.409 Å, intensity 33
2θ 53.70, d = 1.707 Å, intensity 23
2θ 53.81, d = 1.704 Å, intensity 11
2θ 63.87, d = 1.457 Å, intensity 13
2θ 64.07, d = 1.453 Å, intensity 27
2θ 67.22, d = 1.393 Å, intensity 12